For Na2S3N, DFT lattice parameters and positions (PBE) gives the computed powder XRD pattern in this record (Cu Kα).
Peak positions follow from Bragg's law for the DFT cell and can differ from measured ones.

Most intense lines, 10° ≤ 2θ ≤ 80°, low angle first:
d = 8.680 Å, I = 69; d = 5.504 Å, I = 51; d = 4.475 Å, I = 72; d = 2.815 Å, I = 76; d = 2.751 Å, I = 100; d = 2.742 Å, I = 85; d = 2.717 Å, I = 84; d = 2.178 Å, I = 51; d = 1.855 Å, I = 67; d = 1.742 Å, I = 48

Structural model:
a = 5.8001 Å, b = 5.8001 Å, c = 8.9710 Å
α = 101.65°, β = 101.65°, γ = 73.85°
Fractional coordinates of all 12 atoms:
Na (0.0000, 0.0000, 0.0000)
Na (0.1936, 0.1936, 0.7155)
Na (0.5000, 0.5000, 0.5000)
Na (0.8064, 0.8064, 0.2845)
S (0.1730, 0.1730, 0.3853)
S (0.1733, 0.6973, 0.7295)
S (0.3027, 0.8267, 0.2705)
S (0.6973, 0.1733, 0.7295)
S (0.8267, 0.3027, 0.2705)
S (0.8270, 0.8270, 0.6147)
N (0.2887, 0.2887, 0.0201)
N (0.7113, 0.7113, 0.9799)